Simulated powder XRD pattern of HgC4NCl3 for Cu Kα, 1.54184 Å, from a GGA-PBE-relaxed structure.
Neutral-atom scattering factors, no anomalous dispersion.

The 12 most intense peaks (2θ = 15–90°), in order of falling intensity:
19.16°, I 100, hkl 0 3 1
21.24°, I 47, hkl 1 1 -2
18.54°, I 39, hkl 0 1 2
18.11°, I 34, hkl 1 2 -1
28.27°, I 33, hkl 2 2 1
30.55°, I 32, hkl 1 1 3
35.28°, I 29, hkl 2 3 2
34.66°, I 28, hkl 1 3 3
26.19°, I 26, hkl 2 2 0
31.22°, I 25, hkl 2 1 2
28.89°, I 23, hkl 1 1 -3
26.70°, I 23, hkl 1 3 -2

Cell and atoms:
```
data_HgC4NCl3
_space_group_name_H-M_alt 'P 1 21 1'
_space_group_IT_number 4
_cell_length_a 7.579
_cell_length_b 15.664
_cell_length_c 10.080
_cell_angle_alpha 90.00
_cell_angle_beta 94.41
_cell_angle_gamma 90.00
loop_
_space_group_symop_operation_xyz
'x,y,z'
'-x,y+1/2,-z'
loop_
_atom_site_label
_atom_site_fract_x
_atom_site_fract_y
_atom_site_fract_z
_atom_site_occupancy
Hg1 0.014 0.000 0.376 1
Hg2 0.424 0.514 0.751 1
C1 0.046 0.870 0.803 1
C2 0.072 0.932 0.907 1
C3 0.184 0.317 0.373 1
C4 0.206 0.876 0.868 1
C5 0.389 0.145 0.913 1
C6 0.398 0.702 0.520 1
C7 0.417 0.676 0.278 1
C8 0.483 0.159 0.819 1
N1 0.072 0.339 0.290 1
N2 0.407 0.690 0.402 1
Cl1 0.074 0.115 0.514 1
Cl2 0.088 0.385 0.752 1
Cl3 0.248 0.122 0.019 1
Cl4 0.248 0.601 0.870 1
Cl5 0.401 0.930 0.374 1
Cl6 0.417 0.846 0.896 1
```